The following is a calculated XRD peak list of Al4CoB2O10. It was derived from a DFT-relaxed cell (PBE+U, Alexandria), using Cu Kα (weighted mean of Kα1 and Kα2).
Peak positions follow from Bragg's law for the DFT cell and can differ from measured ones.

Peak list (6 most intense, 5° ≤ 2θ ≤ 70°, in order of rising 2θ)
two_theta, d/Å, Rel. int., hkl
22.44, 3.963, 69, 0 1 1
31.99, 2.798, 100, 2 1 -1
34.83, 2.576, 82, 1 1 -3
36.83, 2.440, 83, 2 1 1
42.85, 2.111, 80, 1 1 -4
56.67, 1.624, 65, 2 2 2

a b c (Å): 7.2665 4.3992 9.6159
angles (deg): 90.00 108.42 90.00
Space group P2_1/c (No. 14)
Symmetry-distinct sites (fractional):
Al 0.0748 0.0056 0.3913 [4 per cell]
Al 0.2968 0.0219 0.1681 [4 per cell]
Co 0.5000 0.0000 0.5000 [2 per cell]
B 0.2912 0.5713 0.3513 [4 per cell]
O 0.1128 0.2150 0.5613 [4 per cell]
O 0.1209 0.7426 0.2430 [4 per cell]
O 0.2811 0.2420 0.3442 [4 per cell]
O 0.2881 0.6989 0.4956 [4 per cell]
O 0.4588 0.7089 0.3152 [4 per cell]